Diffraction record for HoCu2SeO2. The XRD peak list is computed, not measured: it uses a structure optimized by DFT (PBE) and λ = 1.5418 Å (Cu Kα).
Lines closer than 0.1° are merged.

The 10 most intense peaks (2θ = 10–90°), low angle first:
two_theta  d/Å  I/Imax
14.86  5.962  16.9
25.31  3.518  100.0
29.48  3.030  13.3
34.03  2.634  17.6
36.10  2.488  38.9
39.63  2.274  15.7
52.92  1.730  22.0
58.68  1.573  17.9
59.54  1.553  15.1
77.36  1.234  13.6

Crystal structure
```
HoCu2SeO2
1.0
3.5182 0.0000 0.0000
0.0000 3.5182 0.0000
0.0000 0.0000 11.9232
Ho Cu Se O
1 2 1 2
Direct
0.0000 0.0000 0.0000 Ho
0.0000 0.0000 0.3174 Cu
0.0000 0.0000 0.6826 Cu
0.0000 0.0000 0.5000 Se
0.0000 0.0000 0.1704 O
0.0000 0.0000 0.8296 O
```

Diffraction record for DyHo3. The XRD peak list is computed, not measured: it uses a structure optimized by DFT (PBE) and λ = 1.5418 Å (Cu Kα).
Lines closer than 0.1° are merged.

The 8 most intense peaks (2θ = 10–90°), low angle first:
two_theta  d/Å  I/Imax
31.07  2.878  100.0
36.03  2.493  50.6
51.87  1.763  36.0
61.71  1.503  42.7
64.78  1.439  12.3
76.42  1.246  5.7
84.76  1.144  17.9
87.50  1.115  16.8

Crystal structure
```
DyHo3
1.0
4.9856 0.0000 0.0000
0.0000 4.9856 0.0000
0.0000 0.0000 4.9856
Dy Ho
1 3
Direct
0.0000 0.0000 0.0000 Dy
0.0000 0.5000 0.5000 Ho
0.5000 0.0000 0.5000 Ho
0.5000 0.5000 0.0000 Ho
```

Diffraction record for Na3ZrZnP3O12. The XRD peak list is computed, not measured: it uses a structure optimized by DFT (PBE) and λ = 1.5418 Å (Cu Kα).
Lines closer than 0.1° are merged.

The 10 most intense peaks (2θ = 10–90°), low angle first:
two_theta  d/Å  I/Imax
19.53  4.544  100.0
22.97  3.873  21.5
27.95  3.192  21.1
31.01  2.883  38.4
31.25  2.863  33.8
31.55  2.836  32.1
34.14  2.626  44.6
34.24  2.619  21.1
47.40  1.918  17.6
53.28  1.719  18.8

Crystal structure
```
Na3ZrZnP3O12
1.0
7.8585 -4.5534 0.0000
7.8585 4.5534 0.0000
-5.0947 0.0000 7.3625
Na Zr Zn P O
6 2 2 6 24
Direct
0.0558 0.9442 0.5000 Na
0.2042 0.4310 0.9569 Na
0.3425 0.7884 0.1918 Na
0.4310 0.2042 0.4569 Na
0.7884 0.3425 0.6918 Na
0.9442 0.0558 0.0000 Na
0.4676 0.9503 0.6533 Zr
0.9503 0.4676 0.1533 Zr
0.1608 0.6629 0.7599 Zn
0.6629 0.1608 0.2599 Zn
0.0650 0.2679 0.4744 P
0.2679 0.0650 0.9744 P
0.3538 0.5638 0.4574 P
0.5638 0.3538 0.9574 P
0.7689 0.8699 0.4749 P
0.8699 0.7689 0.9749 P
0.0211 0.3086 0.3010 O
0.0462 0.7388 0.9602 O
0.0882 0.2341 0.9672 O
0.1160 0.4189 0.6462 O
0.1925 0.5211 0.2794 O
0.2292 0.9130 0.9635 O
0.2341 0.0882 0.4672 O
0.3049 0.6160 0.6212 O
0.3086 0.0211 0.8010 O
0.3675 0.7328 0.4611 O
0.4038 0.5282 0.9521 O
0.4189 0.1160 0.1462 O
0.5211 0.1925 0.7794 O
0.5282 0.4038 0.4521 O
0.5851 0.8822 0.4631 O
0.6160 0.3049 0.1212 O
0.7045 0.8177 0.8084 O
0.7328 0.3675 0.9611 O
0.7388 0.0462 0.4602 O
0.8177 0.7045 0.3084 O
0.8460 0.9214 0.1506 O
0.8822 0.5851 0.9631 O
0.9130 0.2292 0.4635 O
0.9214 0.8460 0.6506 O
```

Diffraction record for RuI2N6. The XRD peak list is computed, not measured: it uses a structure optimized by DFT (PBE) and λ = 1.5418 Å (Cu Kα).
Lines closer than 0.1° are merged.

The 10 most intense peaks (2θ = 10–90°), low angle first:
two_theta  d/Å  I/Imax
18.15  4.887  89.2
18.36  4.833  35.8
18.47  4.804  32.3
29.07  3.072  49.2
29.24  3.055  100.0
29.36  3.042  50.7
32.33  2.769  77.3
43.67  2.073  31.8
46.38  1.958  46.9
55.89  1.645  31.9

Crystal structure
```
RuI2N6
1.0
5.5375 0.0000 0.0000
0.0073 5.5377 0.0000
2.7424 2.7301 4.8872
Ru I N
1 2 6
Direct
0.0000 0.0000 0.0000 Ru
0.1630 0.6633 0.6688 I
0.6639 0.1628 0.6692 I
0.3077 0.3076 0.8538 N
0.3083 0.8362 0.8530 N
0.3244 0.3377 0.2933 N
0.8294 0.8286 0.3454 N
0.8361 0.3077 0.8537 N
0.8363 0.8360 0.8544 N
```

Diffraction record for YP. The XRD peak list is computed, not measured: it uses a structure optimized by DFT (PBE) and λ = 1.5418 Å (Cu Kα).
Lines closer than 0.1° are merged.

The 9 most intense peaks (2θ = 10–90°), low angle first:
two_theta  d/Å  I/Imax
25.61  3.479  30.7
36.53  2.460  100.0
45.14  2.009  9.1
52.62  1.739  16.8
59.41  1.556  11.9
65.75  1.420  33.6
77.62  1.230  10.4
83.33  1.160  5.3
88.97  1.100  15.1

Crystal structure
```
YP
1.0
3.4789 0.0000 0.0000
0.0000 3.4789 0.0000
0.0000 0.0000 3.4789
Y P
1 1
Direct
0.0000 0.0000 0.0000 Y
0.5000 0.5000 0.5000 P
```

Diffraction record for Y4InIr. The XRD peak list is computed, not measured: it uses a structure optimized by DFT (PBE) and λ = 1.5418 Å (Cu Kα).
Lines closer than 0.1° are merged.

The 10 most intense peaks (2θ = 10–90°), low angle first:
two_theta  d/Å  I/Imax
11.14  7.940  21.0
22.39  3.970  26.3
31.88  2.807  29.0
33.87  2.647  100.0
36.98  2.431  44.1
38.74  2.325  15.1
51.01  1.790  14.5
56.80  1.621  30.0
58.09  1.588  15.4
70.88  1.329  15.2

Crystal structure
```
Y4InIr
1.0
0.0000 6.8762 6.8762
6.8762 0.0000 6.8762
6.8762 6.8762 0.0000
Y In Ir
16 4 4
Direct
0.1904 0.1904 0.8096 Y
0.1904 0.8096 0.1904 Y
0.1904 0.8096 0.8096 Y
0.4013 0.4013 0.4013 Y
0.4013 0.4013 0.7962 Y
0.4013 0.7962 0.4013 Y
0.5584 0.5584 0.9416 Y
0.5584 0.9416 0.5584 Y
0.5584 0.9416 0.9416 Y
0.7962 0.4013 0.4013 Y
0.8096 0.1904 0.1904 Y
0.8096 0.1904 0.8096 Y
0.8096 0.8096 0.1904 Y
0.9416 0.5584 0.5584 Y
0.9416 0.5584 0.9416 Y
0.9416 0.9416 0.5584 Y
0.1669 0.1669 0.1669 In
0.1669 0.1669 0.4994 In
0.1669 0.4994 0.1669 In
0.4994 0.1669 0.1669 In
0.1730 0.6090 0.6090 Ir
0.6090 0.1730 0.6090 Ir
0.6090 0.6090 0.1730 Ir
0.6090 0.6090 0.6090 Ir
```

Diffraction record for Te4MoW3Se2S2. The XRD peak list is computed, not measured: it uses a structure optimized by DFT (PBE) and λ = 1.5418 Å (Cu Kα).
Lines closer than 0.1° are merged.

The 10 most intense peaks (2θ = 10–90°), low angle first:
two_theta  d/Å  I/Imax
11.42  7.751  100.0
13.71  6.460  15.3
30.41  2.939  47.7
32.57  2.749  14.3
35.72  2.514  91.5
43.21  2.094  48.8
44.97  2.016  14.0
54.02  1.698  29.0
66.45  1.407  14.9
76.19  1.250  14.2

Crystal structure
```
Te4MoW3Se2S2
1.0
3.3956 0.0000 0.0000
-1.6978 2.9407 0.0000
0.0000 0.0000 38.7571
Te Mo W Se S
4 1 3 2 2
Direct
0.0000 0.0000 0.0000 Te
0.0000 0.0000 0.0966 Te
0.0000 0.0000 0.3754 Te
0.0000 0.0000 0.4726 Te
0.3333 0.6667 0.0483 Mo
0.0000 0.0000 0.2361 W
0.0000 0.0000 0.8604 W
0.3333 0.6667 0.4240 W
0.3333 0.6667 0.8177 Se
0.3333 0.6667 0.9031 Se
0.3333 0.6667 0.1973 S
0.3333 0.6667 0.2750 S
```